Theoretical X-ray diffraction stick pattern of Mg2W2O5 for Cu Kα (λ = 1.5418 Å), from the GGA+U geometry in the Materials Project.
Neutral-atom scattering factors, no anomalous dispersion.

Most intense lines, 10 to 90 degrees two-theta, by angle:
- d 7.053, rel. 41, hkl 0 0 2
- d 4.221, rel. 100, hkl 0 1 2
- d 3.225, rel. 39, hkl 1 0 0
- d 2.929, rel. 91, hkl 0 1 4
- d 2.634, rel. 20, hkl 0 2 0
- d 2.570, rel. 31, hkl 1 1 -2
- d 2.556, rel. 27, hkl 1 1 2
- d 2.177, rel. 22, hkl 1 1 -4
- d 2.161, rel. 23, hkl 1 1 4
- d 1.533, rel. 18, hkl 1 3 1

Unit cell a=3.226 b=5.268 c=14.107 alpha=90.00 beta=90.53 gamma=90.00
Space group P2_1 (No. 4)
One atom of each set of equivalent atoms:
Mg 0.005 0.000 0.049 (multiplicity 2)
Mg 0.010 0.101 0.554 (multiplicity 2)
W 0.485 0.107 0.329 (multiplicity 2)
W 0.499 0.994 0.830 (multiplicity 2)
O 0.003 0.470 0.587 (multiplicity 2)
O 0.005 0.637 0.091 (multiplicity 2)
O 0.489 0.413 0.415 (multiplicity 2)
O 0.492 0.700 0.923 (multiplicity 2)
O 0.494 0.298 0.749 (multiplicity 2)